# 1
Be3NbNi: simulated XRD peak list (Cu Kα (weighted mean of Kα1 and Kα2)), based on a DFT-relaxed cell (PBE, Alexandria).
Lines closer than 0.1° are merged.

Atomic structure:
a b c (Å): 5.5440 5.5440 5.5440
angles (deg): 131.63 117.75 82.54
Atoms (fractional coordinates):
Be (0.1947, 0.0000, 0.6947)
Be (0.1947, 0.5000, 0.1947)
Be (0.4401, 0.1901, 0.2500)
Be (0.5599, 0.8099, 0.7500)
Be (0.8053, 0.0000, 0.3053)
Be (0.8053, 0.5000, 0.8053)
Nb (0.2650, 0.5150, 0.7500)
Nb (0.7350, 0.4850, 0.2500)
Ni (0.0000, 0.0000, 0.0000)
Ni (0.5000, 0.0000, 0.5000)

Main lines, by intensity (10° ≤ 2θ ≤ 80°):
- 2θ = 38.69°, rel. 100
- 2θ = 21.32°, rel. 93
- 2θ = 49.94°, rel. 49
- 2θ = 45.48°, rel. 34
- 2θ = 39.68°, rel. 22
- 2θ = 43.43°, rel. 20
- 2θ = 71.35°, rel. 15
- 2θ = 68.29°, rel. 14
- 2θ = 79.46°, rel. 12
- 2θ = 60.28°, rel. 10
- 2θ = 69.36°, rel. 9
- 2θ = 22.29°, rel. 6



# 2
CsAlTl2Br6: simulated XRD peak list (Cu Kα (weighted mean of Kα1 and Kα2)), based on a DFT-relaxed cell (PBE, Alexandria).
Lines closer than 0.1° are merged.

Atomic structure:
a b c (Å): 7.8506 7.8506 7.3070
angles (deg): 90.00 90.00 90.00
Atoms (fractional coordinates):
Cs (0.0000, 0.0000, 0.0000)
Al (0.5000, 0.5000, 0.1375)
Tl (0.0000, 0.5000, 0.4748)
Tl (0.5000, 0.0000, 0.4748)
Br (0.0000, 0.0000, 0.5330)
Br (0.2842, 0.2842, 0.2291)
Br (0.2842, 0.7158, 0.2291)
Br (0.5000, 0.5000, 0.8175)
Br (0.7158, 0.2842, 0.2291)
Br (0.7158, 0.7158, 0.2291)

Main lines, by intensity (10° ≤ 2θ ≤ 80°):
- 2θ = 20.09°, rel. 100
- 2θ = 33.51°, rel. 76
- 2θ = 32.25°, rel. 59
- 2θ = 12.11°, rel. 49
- 2θ = 25.76°, rel. 43
- 2θ = 38.29°, rel. 41
- 2θ = 22.65°, rel. 25
- 2θ = 58.32°, rel. 24
- 2θ = 26.92°, rel. 22
- 2θ = 46.26°, rel. 19
- 2θ = 43.74°, rel. 14
- 2θ = 48.68°, rel. 14



# 3
Cs3AlBr6: simulated XRD peak list (Cu Kα (weighted mean of Kα1 and Kα2)), based on a DFT-relaxed cell (PBE, Alexandria).
Lines closer than 0.1° are merged.

Atomic structure:
a b c (Å): 8.3914 8.3914 8.3914
angles (deg): 60.00 60.00 60.00
Atoms (fractional coordinates):
Cs (0.0000, 0.0000, 0.0000)
Cs (0.2500, 0.2500, 0.2500)
Cs (0.7500, 0.7500, 0.7500)
Al (0.5000, 0.5000, 0.5000)
Br (0.2868, 0.2868, 0.7132)
Br (0.2868, 0.7132, 0.2868)
Br (0.2868, 0.7132, 0.7132)
Br (0.7132, 0.2868, 0.2868)
Br (0.7132, 0.2868, 0.7132)
Br (0.7132, 0.7132, 0.2868)

Main lines, by intensity (10° ≤ 2θ ≤ 80°):
- 2θ = 30.12°, rel. 100
- 2θ = 26.01°, rel. 81
- 2θ = 43.12°, rel. 62
- 2θ = 21.18°, rel. 56
- 2θ = 32.90°, rel. 33
- 2θ = 48.52°, rel. 24
- 2θ = 51.05°, rel. 23
- 2θ = 39.46°, rel. 19
- 2θ = 58.17°, rel. 19
- 2θ = 71.05°, rel. 19
- 2θ = 53.50°, rel. 18
- 2θ = 59.87°, rel. 18



# 4
CeCdPb: simulated XRD peak list (Cu Kα (weighted mean of Kα1 and Kα2)), based on a DFT-relaxed cell (PBE, Alexandria).
Lines closer than 0.1° are merged.

Atomic structure:
a b c (Å): 5.1368 5.1368 3.6420
angles (deg): 90.00 90.00 120.00
Atoms (fractional coordinates):
Ce (0.0000, 0.0000, 0.0000)
Cd (0.6667, 0.3333, 0.5760)
Pb (0.3333, 0.6667, 0.4274)

Main lines, by intensity (10° ≤ 2θ ≤ 80°):
- 2θ = 31.75°, rel. 100
- 2θ = 34.93°, rel. 82
- 2θ = 47.92°, rel. 32
- 2θ = 60.66°, rel. 32
- 2θ = 62.52°, rel. 16
- 2θ = 62.65°, rel. 15
- 2θ = 54.44°, rel. 12
- 2θ = 43.10°, rel. 10
- 2θ = 73.78°, rel. 9
- 2θ = 19.96°, rel. 9
- 2θ = 77.23°, rel. 9
- 2θ = 24.44°, rel. 7